Computed XRD peak list
Compound: K3Pb2Cl8
Radiation: Cu Ka
Structure: a cell relaxed with PBE

Cell and atoms:
Lattice parameters (Å, degrees): 8.690 8.999 9.019 61.52 61.36 61.99
Fractional positions:
K 0.000 0.000 0.000
K 0.000 0.500 0.500
K 0.500 0.000 0.000
Pb 0.000 0.500 0.000
Pb 0.500 0.500 0.000
Cl 0.207 0.283 0.795
Cl 0.236 0.292 0.208
Cl 0.236 0.701 0.797
Cl 0.270 0.732 0.209
Cl 0.730 0.268 0.791
Cl 0.764 0.299 0.203
Cl 0.764 0.708 0.792
Cl 0.793 0.717 0.205

Largest 10 diffraction maxima, in order of rising 2θ, 2θ = 15–90°:
- 22.80°, intensity 67, (0 2 1)
- 23.50°, intensity 44, (2 0 1)
- 23.68°, intensity 78, (2 1 2)
- 23.80°, intensity 61, (2 2 1)
- 27.64°, intensity 98, (0 2 2)
- 28.08°, intensity 100, (2 0 2)
- 28.38°, intensity 97, (2 2 0)
- 36.14°, intensity 53, (0 2 3)
- 36.67°, intensity 46, (2 2 -1)
- 41.58°, intensity 52, (4 2 2)